The following is a simulated powder diffractogram of W4O9. It was derived from a crystal structure in Alexandria, relaxed with GGA+U, using Cu Kα.
No peak broadening, texture or thermal motion is included.

The 12 most intense peaks (2θ = 10–90°), sorted by position:
hkl 1 0 0, 12.9 deg, 6.857 Å, I 277
hkl 1 1 0, 18.3 deg, 4.848 Å, I 197
hkl 0 0 1, 23.0 deg, 3.871 Å, I 872
hkl 2 0 0, 26.0 deg, 3.428 Å, I 250
hkl 2 1 0, 29.1 deg, 3.066 Å, I 1000
hkl 2 0 1, 35.0 deg, 2.566 Å, I 151
hkl 2 1 1, 37.4 deg, 2.403 Å, I 695
hkl 1 3 0, 41.7 deg, 2.168 Å, I 421
hkl 0 0 2, 47.0 deg, 1.935 Å, I 178
hkl 1 3 1, 48.1 deg, 1.892 Å, I 412
hkl 2 1 2, 56.2 deg, 1.637 Å, I 325
hkl 1 3 2, 64.5 deg, 1.444 Å, I 219

```
data_W4O9
_cell_length_a 6.857
_cell_length_b 6.857
_cell_length_c 3.871
_cell_angle_alpha 90.00
_cell_angle_beta 90.00
_cell_angle_gamma 90.00
_symmetry_space_group_name_H-M 'P 4/m'
_symmetry_Int_Tables_number 83
loop_
_symmetry_equiv_pos_as_xyz
'x,y,z'
'-x,-y,-z'
'-y,x,z'
'y,-x,-z'
'-x,-y,z'
'x,y,-z'
'y,-x,z'
'-y,x,-z'
loop_
_atom_site_label
_atom_site_fract_x
_atom_site_fract_y
_atom_site_fract_z
W1 0.129 0.303 0.000
O1 0.000 0.000 0.000
O2 0.135 0.301 0.500
O3 0.159 0.606 0.000
```